(1)
Structure and computed powder X-ray diffraction pattern of Tm4PPb2 (the PBE geometry in Alexandria; a wavelength of 1.5418 Å).
Peak positions follow from Bragg's law for the DFT cell and can differ from measured ones.

Main lines, in order of rising 2θ (2θ from 10° to 80°):
2theta  I (rel.)
24.90  22
27.33  54
33.66  100
35.51  58
49.75  29
51.09  21
58.92  19
62.59  42

Structural model:
Lattice parameters (Å, degrees): 8.7461 8.7461 8.7461 146.39 146.39 48.26
Fractional coordinates of all 7 atoms:
Tm1 0.0000 0.5000 0.5000
Tm2 0.1677 0.1677 0.0000
Tm3 0.5000 0.0000 0.5000
Tm4 0.8323 0.8323 0.0000
P1 0.0000 0.0000 0.0000
Pb1 0.3621 0.3621 0.0000
Pb2 0.6379 0.6379 0.0000

---

(2)
Structure and computed powder X-ray diffraction pattern of Li2AcTe2O7 (the PBE geometry in Alexandria; a wavelength of 1.5418 Å).
Peak positions follow from Bragg's law for the DFT cell and can differ from measured ones.

Main lines, in order of rising 2θ (2θ from 10° to 80°):
2theta  I (rel.)
19.51  100
24.35  69
28.96  59
32.24  45
37.96  20
43.60  21
50.99  28
55.48  19

Structural model:
Lattice parameters (Å, degrees): 9.9088 9.9088 9.9088 32.55 32.55 32.55
Fractional coordinates of all 12 atoms:
Li1 0.2313 0.2313 0.2313
Li2 0.7687 0.7687 0.7687
Ac1 0.5000 0.5000 0.5000
Te1 0.0774 0.0774 0.0774
Te2 0.9226 0.9226 0.9226
O1 0.0000 0.0000 0.0000
O2 0.0959 0.4219 0.8149
O3 0.1851 0.5781 0.9041
O4 0.4219 0.8149 0.0959
O5 0.5781 0.9041 0.1851
O6 0.8149 0.0959 0.4219
O7 0.9041 0.1851 0.5781

---

(3)
Structure and computed powder X-ray diffraction pattern of Ta5Au3 (the PBE geometry in Alexandria; a wavelength of 1.5418 Å).
Peak positions follow from Bragg's law for the DFT cell and can differ from measured ones.

Main lines, in order of rising 2θ (2θ from 10° to 80°):
2theta  I (rel.)
34.63  18
35.15  32
38.03  59
38.70  51
39.17  100
42.45  34
49.62  19
65.11  23

Structural model:
Lattice parameters (Å, degrees): 10.5809 7.9193 7.9158 83.86 48.09 48.06
Fractional coordinates of all 16 atoms:
Ta1 0.0379 0.3998 0.6002
Ta2 0.0762 0.5758 0.9238
Ta3 0.0963 0.9037 0.0963
Ta4 0.2476 0.5816 0.4184
Ta5 0.3998 0.0379 0.9621
Ta6 0.5525 0.7517 0.2483
Ta7 0.5758 0.0762 0.4242
Ta8 0.5816 0.2476 0.7524
Ta9 0.7517 0.5525 0.4475
Ta10 0.9037 0.0963 0.9037
Au1 0.0649 0.0649 0.4351
Au2 0.1596 0.1596 0.8404
Au3 0.4954 0.4954 0.5046
Au4 0.5649 0.5649 0.9351
Au5 0.6581 0.9927 0.0073
Au6 0.9927 0.6581 0.3419

---

(4)
Structure and computed powder X-ray diffraction pattern of Zn5GaAg (the PBE geometry in Alexandria; a wavelength of 1.5418 Å).
Peak positions follow from Bragg's law for the DFT cell and can differ from measured ones.

Main lines, in order of rising 2θ (2θ from 10° to 80°):
2theta  I (rel.)
28.60  28
35.81  69
39.10  49
39.84  78
41.93  34
42.23  100
43.16  34
45.97  42

Structural model:
Lattice parameters (Å, degrees): 4.7747 4.7747 10.6360 99.94 99.94 99.46
Fractional coordinates of all 14 atoms:
Zn1 0.0077 0.4123 0.8552
Zn2 0.1151 0.8849 0.7500
Zn3 0.2369 0.5316 0.4563
Zn4 0.4123 0.0077 0.3552
Zn5 0.4684 0.7631 0.0437
Zn6 0.5316 0.2369 0.9563
Zn7 0.5877 0.9923 0.6448
Zn8 0.7631 0.4684 0.5437
Zn9 0.8849 0.1151 0.2500
Zn10 0.9923 0.5877 0.1448
Ga1 0.0000 0.0000 0.0000
Ga2 0.0000 0.0000 0.5000
Ag1 0.4860 0.5140 0.7500
Ag2 0.5140 0.4860 0.2500

---

(5)
Structure and computed powder X-ray diffraction pattern of Rb2BeBr7 (the PBE geometry in Alexandria; a wavelength of 1.5418 Å).
Peak positions follow from Bragg's law for the DFT cell and can differ from measured ones.

Main lines, in order of rising 2θ (2θ from 10° to 80°):
2theta  I (rel.)
22.14  20
26.02  34
27.20  100
31.51  89
34.42  30
45.16  48
47.35  21
53.52  23

Structural model:
Lattice parameters (Å, degrees): 8.0308 8.0308 8.0308 119.99 119.99 90.02
Fractional coordinates of all 10 atoms:
Rb1 0.2500 0.7500 0.5000
Rb2 0.7500 0.2500 0.5000
Be1 0.0000 0.0000 0.0000
Br1 0.2005 0.2005 0.4010
Br2 0.2005 0.7995 0.0000
Br3 0.2754 0.2754 0.0000
Br4 0.5000 0.5000 0.0000
Br5 0.7246 0.7246 0.0000
Br6 0.7995 0.2005 0.0000
Br7 0.7995 0.7995 0.5990

---

(6)
Structure and computed powder X-ray diffraction pattern of ReBPC (the PBE geometry in Alexandria; a wavelength of 1.5418 Å).
Peak positions follow from Bragg's law for the DFT cell and can differ from measured ones.

Main lines, in order of rising 2θ (2θ from 10° to 80°):
2theta  I (rel.)
16.35  100
31.06  34
33.04  25
35.00  56
35.29  39
45.74  22
47.48  43
56.32  26

Structural model:
Lattice parameters (Å, degrees): 2.8796 2.9099 5.4220 90.00 90.00 90.00
Fractional coordinates of all 4 atoms:
Re1 0.0000 0.0000 0.0000
B1 0.5000 0.5000 0.8241
P1 0.0000 0.5000 0.3496
C1 0.5000 0.5000 0.5394